Record 1
The following is a theoretical powder XRD pattern of LiPr2H12Rh3. It was derived from a DFT-relaxed cell (PBE, Alexandria), using Cu Ka.
Intensities are scaled so that the largest is 100.

Top 12 peaks for 2θ = 10–90°, low angle first:
2θ 28.25, I = 18, hkl 1 1 0
2θ 30.09, I = 70, hkl 1 0 4
2θ 33.35, I = 100, hkl 0 2 1
2θ 34.16, I = 61, hkl 1 1 3
2θ 35.17, I = 36, hkl 2 0 2
2θ 35.73, I = 34, hkl 0 1 5
2θ 51.16, I = 31, hkl 2 1 4
2θ 53.89, I = 16, hkl 3 0 3
2θ 55.00, I = 19, hkl 1 2 5
2θ 56.62, I = 18, hkl 0 2 7
2θ 58.42, I = 28, hkl 2 2 0
2θ 62.55, I = 22, hkl 2 0 8

Structure:
Cell: 6.3188 6.3188 14.1452 Å, 90.00 90.00 120.00°
Space group R-3m (No. 166, hexagonal axes)
Unique sites:
1 Li 0.0000 0.0000 0.0000
2 Pr 0.0000 0.0000 0.3790
3 H 0.0099 0.5049 0.6179
4 H 0.0326 0.5163 0.8325
5 Rh 0.0000 0.5000 0.5000

***

Record 2
The following is a theoretical powder XRD pattern of Rb6TeBr4. It was derived from a DFT-relaxed cell (PBE, Alexandria), using Cu Ka.
Intensities are scaled so that the largest is 100.

Top 12 peaks for 2θ = 10–90°, low angle first:
2θ 24.36, I = 98, hkl 0 2 6
2θ 25.12, I = 100, hkl 1 3 2
2θ 26.43, I = 58, hkl 1 3 3
2θ 27.77, I = 17, hkl 0 2 7
2θ 31.65, I = 17, hkl 1 1 7
2θ 34.45, I = 20, hkl 1 5 3
2θ 34.77, I = 37, hkl 1 1 8
2θ 35.64, I = 40, hkl 2 0 0
2θ 35.83, I = 33, hkl 1 5 4
2θ 36.02, I = 27, hkl 0 6 4
2θ 43.66, I = 24, hkl 2 2 6
2θ 51.57, I = 19, hkl 2 6 4

Structure:
Cell: 5.0386 16.3890 24.4432 Å, 90.00 90.00 90.00°
Space group Cmcm (No. 63)
Unique sites:
1 Rb 0.0000 0.0000 0.0000
2 Rb 0.0000 0.1926 0.2500
3 Rb 0.0000 0.2671 0.5909
4 Rb 0.0000 0.4481 0.1660
5 Te 0.0000 0.1576 0.7500
6 Br 0.0000 0.0931 0.1279
7 Br 0.0000 0.3613 0.0393

***

Record 3
The following is a theoretical powder XRD pattern of PrNiSb3. It was derived from a DFT-relaxed cell (PBE, Alexandria), using Cu Ka.
Intensities are scaled so that the largest is 100.

Top 12 peaks for 2θ = 10–90°, low angle first:
2θ 27.73, I = 20, hkl 4 0 0
2θ 29.17, I = 30, hkl 0 0 2
2θ 29.99, I = 18, hkl 1 0 2
2θ 31.98, I = 65, hkl 2 2 0
2θ 32.36, I = 47, hkl 2 0 2
2θ 34.64, I = 100, hkl 4 1 1
2θ 35.68, I = 19, hkl 3 2 0
2θ 36.03, I = 27, hkl 3 0 2
2θ 41.39, I = 69, hkl 0 2 2
2θ 55.29, I = 26, hkl 4 1 3
2θ 60.44, I = 16, hkl 0 0 4
2θ 69.37, I = 24, hkl 2 4 2

Structure:
Cell: 12.8701 6.2150 6.1261 Å, 90.00 90.00 90.00°
Space group Pbcm (No. 57)
Unique sites:
1 Pr 0.1963 0.0010 0.2500
2 Ni 0.4040 0.2500 0.0000
3 Sb 0.0018 0.2500 0.0000
4 Sb 0.2849 0.5023 0.2500
5 Sb 0.4498 0.5982 0.7500

***

Record 4
The following is a theoretical powder XRD pattern of LiHPd2Pt. It was derived from a DFT-relaxed cell (PBE, Alexandria), using Cu Ka.
Intensities are scaled so that the largest is 100.

Top 12 peaks for 2θ = 10–90°, low angle first:
2θ 22.64, I = 43, hkl 1 0 0
2θ 32.21, I = 37, hkl 1 0 1
2θ 39.73, I = 100, hkl 1 1 1
2θ 46.20, I = 49, hkl 2 0 0
2θ 52.03, I = 19, hkl 2 1 0
2θ 57.45, I = 14, hkl 2 1 1
2θ 67.40, I = 32, hkl 2 2 0
2θ 72.09, I = 7, hkl 2 1 2
2θ 72.14, I = 2, hkl 3 0 0
2θ 76.66, I = 6, hkl 3 0 1
2θ 81.18, I = 38, hkl 3 1 1
2θ 85.62, I = 11, hkl 2 2 2

Structure:
Cell: 3.9280 3.9280 3.9334 Å, 90.00 90.00 90.00°
Space group P4/mmm (No. 123)
Unique sites:
1 Li 0.0000 0.0000 0.0000
2 H 0.0000 0.0000 0.5000
3 Pd 0.0000 0.5000 0.5000
4 Pt 0.5000 0.5000 0.0000

***

Record 5
The following is a theoretical powder XRD pattern of ScCdSn. It was derived from a DFT-relaxed cell (PBE, Alexandria), using Cu Ka.
Intensities are scaled so that the largest is 100.

Top 12 peaks for 2θ = 10–90°, low angle first:
2θ 20.66, I = 6, hkl 0 1 0
2θ 27.65, I = 7, hkl 1 0 1
2θ 34.77, I = 100, hkl 1 1 1
2θ 37.31, I = 22, hkl 0 0 3
2θ 41.61, I = 15, hkl 2 0 -1
2θ 42.03, I = 15, hkl 0 2 0
2θ 57.44, I = 12, hkl 0 2 3
2θ 60.63, I = 10, hkl 2 2 -1
2θ 65.65, I = 15, hkl 1 1 4
2θ 71.48, I = 6, hkl 3 1 0
2θ 71.57, I = 6, hkl 3 1 -3
2θ 72.11, I = 12, hkl 1 3 1

Structure:
Cell: 4.3410 4.2997 7.5459 Å, 90.00 106.61 90.00°
Space group P2/m (No. 10)
Unique sites:
1 Sc 0.1602 0.0000 0.3208
2 Cd 0.0000 0.5000 0.0000
3 Cd 0.5000 0.0000 0.0000
4 Sn 0.3317 0.5000 0.6633

***

Record 6
The following is a theoretical powder XRD pattern of Na4Pa3TaN8. It was derived from a DFT-relaxed cell (PBE, Alexandria), using Cu Ka.
Intensities are scaled so that the largest is 100.

Top 12 peaks for 2θ = 10–90°, low angle first:
2θ 15.53, I = 100, hkl 0 0 3
2θ 30.19, I = 53, hkl 0 2 1
2θ 31.36, I = 22, hkl 0 0 6
2θ 31.55, I = 61, hkl 2 0 2
2θ 36.53, I = 64, hkl 0 2 4
2θ 39.92, I = 22, hkl 2 0 5
2θ 47.97, I = 19, hkl 0 2 7
2θ 52.50, I = 21, hkl 2 0 8
2θ 52.74, I = 22, hkl 2 2 0
2θ 55.33, I = 23, hkl 2 2 3
2θ 62.66, I = 20, hkl 2 2 6
2θ 73.98, I = 13, hkl 4 0 7

Structure:
Cell: 6.9421 6.9421 17.1132 Å, 90.00 90.00 120.00°
Space group R-3m (No. 166, hexagonal axes)
Unique sites:
1 Na 0.0000 0.0000 0.0000
2 Na 0.0000 0.5000 0.0000
3 Pa 0.0000 0.5000 0.5000
4 Ta 0.0000 0.0000 0.5000
5 N 0.0000 0.0000 0.2289
6 N 0.0166 0.5083 0.2284